Structure and computed XRD peak list of NbCr3Ag2S8 (a DFT-relaxed cell (PBE, Alexandria); a wavelength of 1.5418 Å).

The 10 most intense peaks (2θ from 10° to 90°), sorted by position:
- 2θ = 20.90°, d 4.251, I 28, (0 2 2)
- 2θ = 27.37°, d 3.259, I 37, (0 4 0)
- 2θ = 27.50°, d 3.243, I 90, (0 2 3)
- 2θ = 30.28°, d 2.952, I 47, (1 2 1)
- 2θ = 34.04°, d 2.634, I 100, (1 3 1)
- 2θ = 34.83°, d 2.576, I 28, (0 2 4)
- 2θ = 36.00°, d 2.495, I 35, (1 1 3)
- 2θ = 42.02°, d 2.150, I 58, (1 1 4)
- 2θ = 50.38°, d 1.811, I 38, (1 4 4)
- 2θ = 52.82°, d 1.733, I 35, (2 0 0)

Structure:
Lattice parameters (Å, degrees): 3.467 13.036 11.216 90.00 90.00 90.00
Space group Pmc2_1 (No. 26)
Asymmetric unit:
Nb  0.000  0.138  0.000 x2
Cr  0.000  0.384  0.546 x2
Cr  0.500  0.162  0.649 x2
Cr  0.500  0.335  0.188 x2
Ag  0.000  0.436  0.851 x2
Ag  0.500  0.105  0.359 x2
S  0.000  0.117  0.789 x2
S  0.000  0.205  0.215 x2
S  0.000  0.205  0.516 x2
S  0.000  0.447  0.132 x2
S  0.500  0.012  0.057 x2
S  0.500  0.276  0.985 x2
S  0.500  0.339  0.688 x2
S  0.500  0.407  0.398 x2

***

Structure and computed XRD peak list of Dy6Y3Tm2 (a DFT-relaxed cell (PBE, Alexandria); a wavelength of 1.5418 Å).

The 10 most intense peaks (2θ from 10° to 90°), sorted by position:
- 2θ = 30.95°, d 2.889, I 100, (0 1 11)
- 2θ = 35.89°, d 2.502, I 50, (1 0 22)
- 2θ = 51.60°, d 1.771, I 18, (1 1 0)
- 2θ = 51.72°, d 1.767, I 18, (0 1 44)
- 2θ = 61.42°, d 1.510, I 32, (2 0 11)
- 2θ = 61.55°, d 1.507, I 10, (1 0 55)
- 2θ = 64.45°, d 1.446, I 9, (0 2 22)
- 2θ = 84.25°, d 1.149, I 9, (1 2 11)
- 2θ = 86.99°, d 1.120, I 8, (2 1 22)
- 2θ = 87.19°, d 1.118, I 8, (1 1 66)

Structure:
Lattice parameters (Å, degrees): 3.5427 3.5427 95.1354 90.00 90.00 120.00
Space group R-3m (No. 166, hexagonal axes)
Asymmetric unit:
Dy  0.0000  0.0000  0.0916 x6
Dy  0.0000  0.0000  0.1818 x6
Dy  0.0000  0.0000  0.3639 x6
Y  0.0000  0.0000  0.0000 x3
Y  0.0000  0.0000  0.2723 x6
Tm  0.0000  0.0000  0.4549 x6

***

Structure and computed XRD peak list of Dy8Te3P3N (a DFT-relaxed cell (PBE, Alexandria); a wavelength of 1.5418 Å).

The 10 most intense peaks (2θ from 10° to 90°), sorted by position:
- 2θ = 13.44°, d 6.587, I 15, (1 0 1)
- 2θ = 27.07°, d 3.294, I 29, (2 0 2)
- 2θ = 30.82°, d 2.901, I 100, (0 2 4)
- 2θ = 33.38°, d 2.685, I 27, (2 0 5)
- 2θ = 38.15°, d 2.359, I 13, (0 0 9)
- 2θ = 42.92°, d 2.107, I 24, (2 0 8)
- 2θ = 45.34°, d 2.000, I 37, (2 2 0)
- 2θ = 55.82°, d 1.647, I 16, (4 0 4)
- 2θ = 60.70°, d 1.526, I 18, (2 2 9)
- 2θ = 62.90°, d 1.478, I 14, (0 2 13)

Structure:
Lattice parameters (Å, degrees): 8.0013 8.0013 21.2332 90.00 90.00 120.00
Space group R-3m (No. 166, hexagonal axes)
Asymmetric unit:
Dy  0.0000  0.0000  0.2350 x6
Dy  0.0301  0.5151  0.2310 x18
Te  0.0000  0.5000  0.0000 x9
P  0.0000  0.5000  0.5000 x9
N  0.0000  0.0000  0.5000 x3

***

Structure and computed XRD peak list of LaSm5Tm2 (a DFT-relaxed cell (PBE, Alexandria); a wavelength of 1.5418 Å).

The 10 most intense peaks (2θ from 10° to 90°), sorted by position:
- 2θ = 30.35°, d 2.945, I 100, (2 0 2)
- 2θ = 34.93°, d 2.569, I 17, (0 0 4)
- 2θ = 35.31°, d 2.542, I 33, (2 2 0)
- 2θ = 50.51°, d 1.807, I 24, (2 2 4)
- 2θ = 50.79°, d 1.798, I 12, (4 0 0)
- 2θ = 59.82°, d 1.546, I 15, (2 0 6)
- 2θ = 60.32°, d 1.534, I 28, (4 2 2)
- 2θ = 63.13°, d 1.473, I 12, (4 0 4)
- 2θ = 82.25°, d 1.172, I 12, (4 2 6)
- 2θ = 82.69°, d 1.167, I 6, (6 0 2)

Structure:
Lattice parameters (Å, degrees): 7.190 7.190 10.275 90.00 90.00 90.00
Space group I4/mmm (No. 139)
Asymmetric unit:
La  0.000  0.000  0.000 x2
Sm  0.000  0.000  0.500 x2
Sm  0.250  0.250  0.250 x8
Tm  0.000  0.500  0.000 x4

***

Structure and computed XRD peak list of SrGaF5 (a DFT-relaxed cell (PBE, Alexandria); a wavelength of 1.5418 Å).

The 10 most intense peaks (2θ from 10° to 90°), sorted by position:
- 2θ = 23.88°, d 3.726, I 45, (0 0 2)
- 2θ = 24.28°, d 3.666, I 41, (4 0 0)
- 2θ = 25.40°, d 3.506, I 36, (1 1 2)
- 2θ = 27.20°, d 3.279, I 58, (2 4 0)
- 2θ = 27.79°, d 3.210, I 100, (4 1 1)
- 2θ = 43.13°, d 2.098, I 23, (3 6 1)
- 2θ = 44.50°, d 2.036, I 44, (1 4 3)
- 2θ = 48.89°, d 1.863, I 22, (0 0 4)
- 2θ = 51.38°, d 1.778, I 26, (8 2 0)
- 2θ = 73.65°, d 1.286, I 21, (8 2 4)

Structure:
Lattice parameters (Å, degrees): 14.664 14.664 7.451 90.00 90.00 90.00
Space group I4 (No. 79)
Asymmetric unit:
Sr  0.049  0.226  0.000 x8
Sr  0.069  0.753  0.500 x8
Ga  0.000  0.000  0.249 x2
Ga  0.000  0.000  0.745 x2
Ga  0.000  0.500  0.002 x4
Ga  0.168  0.315  0.500 x8
F  0.000  0.000  0.497 x2
F  0.000  0.000  0.997 x2
F  0.000  0.500  0.251 x4
F  0.035  0.875  0.754 x8
F  0.036  0.875  0.240 x8
F  0.049  0.379  0.501 x8
F  0.066  0.388  0.001 x8
F  0.099  0.710  0.175 x8
F  0.099  0.711  0.826 x8
F  0.107  0.241  0.326 x8
F  0.108  0.241  0.676 x8
F  0.225  0.259  0.000 x8